SrZn2B2O6: simulated powder diffractogram (Cu Kα (weighted mean of Kα1 and Kα2)), based on a cell relaxed with PBE.
Intensities are scaled so that the largest is 100.

The 6 most intense peaks (10° ≤ 2θ ≤ 90°), in order of rising 2θ:
d/Å, intensity
3.711, 100
2.648, 82
2.602, 49
2.130, 35
1.648, 31
1.511, 22

Atomic structure:
```
SrZn2B2O6
1.0
5.204 0.000 0.000
-2.602 4.507 0.000
0.000 0.000 6.543
Sr Zn B O
1 2 2 6
Cartesian
0.000 0.000 0.000
0.000 3.004 1.873
2.602 1.502 4.670
0.000 3.004 4.939
2.602 1.502 1.604
-1.385 2.946 4.962
0.743 1.834 4.962
1.959 0.274 1.581
0.642 4.233 4.962
1.859 2.673 1.581
3.987 1.560 1.581
```

---

Na2YbC2O6F: simulated powder diffractogram (Cu Kα (weighted mean of Kα1 and Kα2)), based on a cell relaxed with PBE.
Intensities are scaled so that the largest is 100.

The 6 most intense peaks (10° ≤ 2θ ≤ 90°), in order of rising 2θ:
d/Å, intensity
8.790, 100
5.149, 79
4.662, 36
3.921, 39
3.625, 32
2.879, 33

Atomic structure:
```
Na2YbC2O6F
1.0
8.814 -3.088 0.000
8.814 3.088 0.000
-0.851 0.000 11.516
Na Yb C O F
8 4 8 24 4
Cartesian
1.622 0.582 4.378
4.323 0.568 1.576
1.197 -0.582 10.136
3.897 -0.568 7.334
12.880 0.568 4.182
15.580 0.582 1.380
12.454 -0.568 9.940
15.155 -0.582 7.138
7.474 1.021 4.276
9.728 1.021 1.482
7.049 -1.021 10.034
9.303 -1.021 7.240
6.935 1.802 10.183
4.767 0.513 4.798
9.417 1.802 7.091
4.342 -0.513 10.556
12.435 0.513 0.960
7.360 -1.802 4.425
12.010 -0.513 6.718
9.842 -1.802 1.333
1.366 0.105 0.958
0.940 -0.105 6.716
5.018 1.217 3.733
3.295 0.214 10.665
6.319 1.197 9.220
5.650 0.549 5.761
3.720 -0.214 4.907
7.908 1.151 10.767
8.443 1.151 6.507
10.033 1.197 8.054
6.075 -0.549 0.003
4.593 -1.217 9.491
12.184 1.217 2.025
10.702 0.549 11.513
6.744 -1.197 3.462
8.334 -1.151 5.009
8.868 -1.151 0.749
13.057 0.214 6.609
11.127 -0.549 5.755
10.458 -1.197 2.296
13.482 -0.214 0.851
11.759 -1.217 7.783
15.837 0.105 4.800
15.411 -0.105 10.558
7.590 1.595 2.078
9.613 1.595 3.680
7.164 -1.595 7.836
9.187 -1.595 9.438
```

---

SmDyTeAu: simulated powder diffractogram (Cu Kα (weighted mean of Kα1 and Kα2)), based on a cell relaxed with PBE.
Intensities are scaled so that the largest is 100.

The 6 most intense peaks (10° ≤ 2θ ≤ 90°), in order of rising 2θ:
d/Å, intensity
3.059, 100
2.233, 40
2.100, 36
1.731, 19
1.403, 17
1.336, 16

Atomic structure:
```
SmDyTeAu
1.0
4.199 0.000 0.000
-2.100 3.637 0.000
0.000 0.000 22.625
Sm Dy Te Au
3 3 3 3
Cartesian
0.000 0.000 0.000
0.000 2.424 15.083
2.100 1.212 7.542
0.000 0.000 11.017
0.000 2.424 3.476
2.100 1.212 18.559
0.000 0.000 5.468
0.000 2.424 20.552
2.100 1.212 13.010
0.000 0.000 16.874
0.000 2.424 9.333
2.100 1.212 1.791
```

---

Mn3GeS6: simulated powder diffractogram (Cu Kα (weighted mean of Kα1 and Kα2)), based on a cell relaxed with PBE.
Intensities are scaled so that the largest is 100.

The 6 most intense peaks (10° ≤ 2θ ≤ 90°), in order of rising 2θ:
d/Å, intensity
3.215, 100
2.395, 37
2.323, 25
2.187, 20
2.180, 31
1.936, 29

Atomic structure:
```
Mn3GeS6
1.0
4.763 -6.108 0.000
4.763 6.108 0.000
0.000 0.000 6.225
Mn Ge S
6 2 12
Cartesian
4.763 4.871 3.112
2.900 1.434 2.638
2.900 -1.434 5.750
6.625 1.434 2.638
6.625 -1.434 5.750
4.763 -4.871 0.000
4.763 2.078 5.462
4.763 -2.078 2.350
3.142 3.373 4.236
1.635 0.357 4.600
1.635 -0.357 1.488
4.763 2.755 1.653
6.384 3.373 4.236
4.763 0.366 3.588
4.763 -0.366 0.476
3.142 -3.373 1.124
4.763 -2.755 4.765
7.891 0.357 4.600
7.891 -0.357 1.488
6.384 -3.373 1.124
```